Theoretical XRD peak list
Compound: Ac2NiH4Pb2
Radiation: copper Kα
Structure: a DFT-relaxed cell (GGA-PBE, Alexandria)
Neutral-atom scattering factors, no anomalous dispersion.

Structural model:
Cell lengths 6.510, 6.510, 8.502 Å; angles 90.00, 90.00, 90.00 degrees
Space group I4/mmm (No. 139)
Inequivalent atoms, fractional coordinates:
Ac (0.000, 0.500, 0.250) (multiplicity 4)
Ni (0.000, 0.000, 0.000) (multiplicity 2)
H (0.171, 0.171, 0.000) (multiplicity 8)
Pb (0.000, 0.000, 0.327) (multiplicity 4)

Principal peaks in the range 2θ from 5° to 70°, in order of rising 2θ:
2θ/deg  I/Imax  hkl
20.9  41  0 0 2
27.4  100  2 0 0
28.6  17  1 1 2
34.5  30  1 0 3
34.7  49  2 0 2
39.1  40  2 2 0
44.6  29  2 1 3
44.8  24  2 2 2
47.1  16  1 1 4
64.0  19  4 2 0